Entry 1:
Structure and calculated powder XRD pattern of Li3Cr4S8 (a DFT-relaxed cell (PBE, the Materials Project); copper Kα).

Main lines, low angle first (15 to 90 degrees two-theta):
- 30.0°, rel. 31
- 35.0°, rel. 100
- 44.3°, rel. 38
- 48.0°, rel. 31
- 52.5°, rel. 34
- 54.5°, rel. 18
- 60.7°, rel. 16
- 64.7°, rel. 14
- 71.1°, rel. 8
- 87.9°, rel. 12

Structural model:
abc: 6.9695 6.9695 19.4653
angles: 90.00 90.00 120.00
Space group R3m (No. 160, hexagonal axes)
Symmetry-distinct sites (fractional):
Li 0.1682 0.3364 0.0000 x9
Cr 0.0000 0.0000 0.5244 x3
Cr 0.0112 0.5056 0.5192 x9
S 0.0000 0.0000 0.2572 x3
S 0.0000 0.0000 0.7849 x3
S 0.1671 0.3341 0.1233 x9
S 0.1681 0.3363 0.5915 x9

=====

Entry 2:
Structure and calculated powder XRD pattern of Rb3Os2Br9 (a DFT-relaxed cell (PBE, the Materials Project); copper Kα).

Main lines, low angle first (15 to 90 degrees two-theta):
- 23.3°, rel. 42
- 27.6°, rel. 39
- 28.6°, rel. 44
- 30.6°, rel. 100
- 33.3°, rel. 71
- 36.4°, rel. 27
- 43.6°, rel. 30
- 43.8°, rel. 42
- 47.6°, rel. 71
- 57.7°, rel. 27

Structural model:
abc: 7.6412 7.6412 18.5492
angles: 90.00 90.00 120.00
Space group P6_3/mmc (No. 194)
Symmetry-distinct sites (fractional):
Rb 0.0000 0.0000 0.2500 x2
Rb 0.3333 0.6667 0.0633 x4
Os 0.3333 0.6667 0.6765 x4
Br 0.0085 0.5043 0.7500 x6
Br 0.1786 0.3572 0.5968 x12

=====

Entry 3:
Structure and calculated powder XRD pattern of SnO2 (a DFT-relaxed cell (PBE, the Materials Project); copper Kα).

Main lines, low angle first (15 to 90 degrees two-theta):
- 26.1°, rel. 100
- 33.2°, rel. 39
- 33.4°, rel. 43
- 36.9°, rel. 13
- 50.6°, rel. 34
- 51.0°, rel. 37
- 53.7°, rel. 17
- 63.6°, rel. 17
- 64.2°, rel. 12
- 88.2°, rel. 14

Structural model:
abc: 4.7880 4.8666 3.2409
angles: 90.00 90.00 90.00
Space group Pnnm (No. 58)
Symmetry-distinct sites (fractional):
Sn 0.0000 0.0000 0.0000 x2
O 0.2081 0.1790 0.5000 x4